1.
This entry pairs a crystal structure of Zn3Ir with its simulated X-ray powder pattern. Radiation: Cu Kα X-rays. Structure: a structure optimized by DFT (PBE).
Intensities are scaled so that the largest is 100.

Peak list (10 most intense, 2θ = 10–80°, in order of rising 2θ)
21.79 deg, I = 10; 26.29 deg, I = 26; 40.77 deg, I = 100; 41.10 deg, I = 8; 44.43 deg, I = 20; 48.88 deg, I = 29; 56.34 deg, I = 7; 68.17 deg, I = 21; 71.62 deg, I = 9; 79.30 deg, I = 14

Cell and atoms:
Cell: 4.8554 4.8554 4.8554 Å, 134.87 134.87 65.74°
Element x y z (fractional)
Zn  0.0000  0.0000  0.0000
Zn  0.2500  0.7500  0.5000
Zn  0.7500  0.2500  0.5000
Ir  0.5000  0.5000  0.0000

***

2.
This entry pairs a crystal structure of RbMgBr3O6 with its simulated X-ray powder pattern. Radiation: Cu Kα X-rays. Structure: a structure optimized by DFT (PBE).
Intensities are scaled so that the largest is 100.

Peak list (10 most intense, 2θ = 10–80°, in order of rising 2θ)
15.62 deg, I = 37; 15.88 deg, I = 100; 23.40 deg, I = 44; 25.98 deg, I = 40; 26.57 deg, I = 55; 30.87 deg, I = 47; 33.07 deg, I = 38; 34.03 deg, I = 33; 35.51 deg, I = 32; 42.41 deg, I = 34

Cell and atoms:
Cell: 6.8382 6.8382 14.9244 Å, 110.79 110.79 51.09°
Element x y z (fractional)
Rb  0.2243  0.7757  0.7500
Rb  0.7757  0.2243  0.2500
Mg  0.5000  0.5000  0.0000
Mg  0.5000  0.5000  0.5000
Br  0.0000  0.0000  0.0000
Br  0.0000  0.0000  0.5000
Br  0.0351  0.5986  0.3010
Br  0.4014  0.9649  0.1990
Br  0.5986  0.0351  0.8010
Br  0.9649  0.4014  0.6990
O  0.1193  0.7053  0.0227
O  0.1454  0.7177  0.5438
O  0.2823  0.8546  0.9562
O  0.2947  0.8807  0.4773
O  0.3687  0.4271  0.3494
O  0.4271  0.3687  0.8494
O  0.5729  0.6313  0.1506
O  0.6313  0.5729  0.6506
O  0.7053  0.1193  0.5227
O  0.7177  0.1454  0.0438
O  0.8546  0.2823  0.4562
O  0.8807  0.2947  0.9773